No. 1
The following is a computed X-ray powder pattern of FeTe2Br. It was derived from a crystal structure in Alexandria, relaxed with GGA-PBE, using Cu Kα (λ = 1.5418 Å).
Kinematic intensities with the Lorentz-polarization factor, no thermal factor.

Structure:
a = 3.7859 Å, b = 3.7859 Å, c = 23.5729 Å
α = 90.00°, β = 90.00°, γ = 120.00°
Space group R-3m (No. 166, hexagonal axes)
Unique sites:
Fe 0.0000 0.0000 0.0000
Te 0.0000 0.0000 0.2732
Br 0.0000 0.0000 0.5000

Top 6 peaks for 2θ = 5–70°, low angle first:
- 2θ 11.26, I = 21
- 2θ 31.22, I = 100
- 2θ 33.28, I = 24
- 2θ 41.19, I = 22
- 2θ 48.06, I = 37
- 2θ 60.33, I = 17

***

No. 2
The following is a computed X-ray powder pattern of TmSc2Ag2. It was derived from a crystal structure in Alexandria, relaxed with GGA-PBE, using Cu Kα (λ = 1.5418 Å).
Kinematic intensities with the Lorentz-polarization factor, no thermal factor.

Structure:
a = 4.9819 Å, b = 4.6811 Å, c = 10.3683 Å
α = 90.00°, β = 93.87°, γ = 90.00°
Space group P2_1/m (No. 11)
Unique sites:
Tm 0.2055 0.2500 0.2449
Sc 0.2502 0.7500 0.4966
Sc 0.3370 0.2500 0.8888
Ag 0.1556 0.7500 0.0067
Ag 0.2699 0.2500 0.6340

Top 6 peaks for 2θ = 5–70°, low angle first:
- 2θ 26.15, I = 46
- 2θ 30.74, I = 100
- 2θ 32.12, I = 81
- 2θ 32.24, I = 75
- 2θ 36.14, I = 44
- 2θ 38.46, I = 65